This entry pairs a crystal structure of PrU3Tl3Te8 with its computed powder X-ray diffraction pattern. Radiation: Cu Kα (λ = 1.5418 Å). Structure: the GGA-PBE geometry in Alexandria.

Principal peaks in the range 2θ from 15° to 90°, low angle first:
hkl 2 2 0, 2θ 27.21, I 1000; hkl 2 0 -2, 2θ 37.24, I 268; hkl 2 2 4, 2θ 37.32, I 134; hkl 2 4 2, 2θ 40.35, I 240; hkl 4 2 2, 2θ 40.50, I 119; hkl 0 0 4, 2θ 43.98, I 73; hkl 0 4 0, 2θ 49.27, I 66; hkl 4 0 4, 2θ 56.16, I 82; hkl 2 4 6, 2θ 61.21, I 112; hkl 2 6 4, 2θ 65.55, I 84

Atomic structure:
Cell: 8.9095 8.9350 9.7049 Å, 62.75 62.75 60.17°
Fractional coordinates of all 15 atoms:
Pr (0.0000, 0.0000, 0.0000)
U (0.0000, 0.5000, 0.0000)
U (0.5000, 0.0000, 0.0000)
U (0.5000, 0.5000, 0.0000)
Tl (0.0000, 0.0000, 0.5000)
Tl (0.0000, 0.5000, 0.5000)
Tl (0.5000, 0.0000, 0.5000)
Te (0.2441, 0.2453, 0.7813)
Te (0.2445, 0.7286, 0.7819)
Te (0.2606, 0.2617, 0.2169)
Te (0.2706, 0.7553, 0.2191)
Te (0.7294, 0.2447, 0.7809)
Te (0.7394, 0.7383, 0.7831)
Te (0.7555, 0.2714, 0.2181)
Te (0.7559, 0.7547, 0.2187)

=====

This entry pairs a crystal structure of Na4Al3Ge3ClO12 with its computed powder X-ray diffraction pattern. Radiation: Cu Kα (λ = 1.5418 Å). Structure: the GGA-PBE geometry in Alexandria.

Principal peaks in the range 2θ from 15° to 90°, low angle first:
hkl 2 0 0, 2θ 19.44, I 121; hkl 2 1 0, 2θ 21.76, I 343; hkl 2 1 1, 2θ 23.87, I 1000; hkl 3 1 0, 2θ 30.97, I 168; hkl 2 2 2, 2θ 34.01, I 359; hkl 3 2 1, 2θ 36.83, I 361; hkl 4 1 1, 2θ 41.98, I 142; hkl 4 4 0, 2θ 57.06, I 245; hkl 5 3 2, 2θ 62.72, I 149; hkl 6 3 3, 2θ 76.69, I 117

Atomic structure:
Cell: 9.1313 9.1313 9.1313 Å, 90.00 90.00 90.00°
Fractional coordinates of all 46 atoms:
Na (0.1710, 0.1710, 0.1710)
Na (0.1710, 0.8290, 0.8290)
Na (0.3290, 0.3290, 0.6710)
Na (0.3290, 0.6710, 0.3290)
Na (0.6710, 0.3290, 0.3290)
Na (0.6710, 0.6710, 0.6710)
Na (0.8290, 0.1710, 0.8290)
Na (0.8290, 0.8290, 0.1710)
Al (0.0000, 0.2500, 0.5000)
Al (0.0000, 0.7500, 0.5000)
Al (0.2500, 0.5000, 0.0000)
Al (0.5000, 0.0000, 0.2500)
Al (0.5000, 0.0000, 0.7500)
Al (0.7500, 0.5000, 0.0000)
Ge (0.0000, 0.5000, 0.2500)
Ge (0.0000, 0.5000, 0.7500)
Ge (0.2500, 0.0000, 0.5000)
Ge (0.5000, 0.2500, 0.0000)
Ge (0.5000, 0.7500, 0.0000)
Ge (0.7500, 0.0000, 0.5000)
Cl (0.0000, 0.0000, 0.0000)
Cl (0.5000, 0.5000, 0.5000)
O (0.0743, 0.3569, 0.6434)
O (0.0743, 0.6431, 0.3566)
O (0.1434, 0.1431, 0.4257)
O (0.1431, 0.4257, 0.1434)
O (0.1431, 0.5743, 0.8566)
O (0.1434, 0.8569, 0.5743)
O (0.3566, 0.0743, 0.6431)
O (0.3569, 0.3566, 0.9257)
O (0.3569, 0.6434, 0.0743)
O (0.3566, 0.9257, 0.3569)
O (0.4257, 0.1434, 0.1431)
O (0.4257, 0.8566, 0.8569)
O (0.5743, 0.1434, 0.8569)
O (0.5743, 0.8566, 0.1431)
O (0.6434, 0.0743, 0.3569)
O (0.6431, 0.3566, 0.0743)
O (0.6431, 0.6434, 0.9257)
O (0.6434, 0.9257, 0.6431)
O (0.8566, 0.1431, 0.5743)
O (0.8569, 0.4257, 0.8566)
O (0.8569, 0.5743, 0.1434)
O (0.8566, 0.8569, 0.4257)
O (0.9257, 0.3569, 0.3566)
O (0.9257, 0.6431, 0.6434)

=====

This entry pairs a crystal structure of Ac2MgCd8 with its computed powder X-ray diffraction pattern. Radiation: Cu Kα (λ = 1.5418 Å). Structure: the GGA-PBE geometry in Alexandria.

Principal peaks in the range 2θ from 15° to 90°, low angle first:
hkl 0 1 -2, 2θ 21.33, I 233; hkl 1 0 2, 2θ 27.96, I 244; hkl 0 0 3, 2θ 28.79, I 195; hkl 1 -2 2, 2θ 31.69, I 541; hkl 1 -1 3, 2θ 32.28, I 240; hkl 1 1 1, 2θ 32.87, I 1000; hkl 2 -1 1, 2θ 33.26, I 453; hkl -1 2 1, 2θ 33.62, I 290; hkl 1 1 -3, 2θ 35.27, I 579; hkl 0 0 4, 2θ 38.76, I 304

Atomic structure:
Cell: 5.6764 6.1892 9.7237 Å, 104.51 91.92 114.63°
Fractional coordinates of all 11 atoms:
Ac (0.1824, 0.1518, 0.3181)
Ac (0.8176, 0.8482, 0.6819)
Mg (0.5000, 0.0000, 0.0000)
Cd (0.1215, 0.3011, 0.0029)
Cd (0.1783, 0.5177, 0.7480)
Cd (0.2608, 0.7517, 0.4963)
Cd (0.4959, 0.2458, 0.7678)
Cd (0.5041, 0.7542, 0.2322)
Cd (0.7392, 0.2483, 0.5037)
Cd (0.8217, 0.4823, 0.2520)
Cd (0.8785, 0.6989, 0.9971)

=====

Copy entry 1 word for word.
This entry pairs a crystal structure of PrU3Tl3Te8 with its computed powder X-ray diffraction pattern. Radiation: Cu Kα (λ = 1.5418 Å). Structure: the GGA-PBE geometry in Alexandria.

Principal peaks in the range 2θ from 15° to 90°, low angle first:
hkl 2 2 0, 2θ 27.21, I 1000; hkl 2 0 -2, 2θ 37.24, I 268; hkl 2 2 4, 2θ 37.32, I 134; hkl 2 4 2, 2θ 40.35, I 240; hkl 4 2 2, 2θ 40.50, I 119; hkl 0 0 4, 2θ 43.98, I 73; hkl 0 4 0, 2θ 49.27, I 66; hkl 4 0 4, 2θ 56.16, I 82; hkl 2 4 6, 2θ 61.21, I 112; hkl 2 6 4, 2θ 65.55, I 84

Atomic structure:
Cell: 8.9095 8.9350 9.7049 Å, 62.75 62.75 60.17°
Fractional coordinates of all 15 atoms:
Pr (0.0000, 0.0000, 0.0000)
U (0.0000, 0.5000, 0.0000)
U (0.5000, 0.0000, 0.0000)
U (0.5000, 0.5000, 0.0000)
Tl (0.0000, 0.0000, 0.5000)
Tl (0.0000, 0.5000, 0.5000)
Tl (0.5000, 0.0000, 0.5000)
Te (0.2441, 0.2453, 0.7813)
Te (0.2445, 0.7286, 0.7819)
Te (0.2606, 0.2617, 0.2169)
Te (0.2706, 0.7553, 0.2191)
Te (0.7294, 0.2447, 0.7809)
Te (0.7394, 0.7383, 0.7831)
Te (0.7555, 0.2714, 0.2181)
Te (0.7559, 0.7547, 0.2187)